Entry 1:
Calculated powder diffractogram of Sb4S3N2 for a wavelength of 1.5418 Å, from a structure optimized by DFT (PBE).
Neutral-atom scattering factors, no anomalous dispersion.

Atomic structure:
```
9
Lattice="7.3772 -1.8516 0.0000 7.3772 1.8516 0.0000 -4.8070 0.0000 7.8452" Properties=species:S:1:pos:R:3 pbc="T T T"
Sb 0.2951 0.0000 2.8653
Sb 3.7293 0.0000 2.0971
Sb 6.2181 0.0000 5.7481
Sb 9.6524 0.0000 4.9799
S -2.4035 0.0000 3.9226
S 0.3646 0.0000 6.7445
S 9.5829 0.0000 1.1007
N 2.3025 0.0000 3.7133
N 7.6450 0.0000 4.1319
```

Principal peaks in the range 2θ from 15° to 90°, in order of falling intensity:
29.08 deg, intensity 100.0; 31.01 deg, intensity 64.8; 36.54 deg, intensity 56.7; 39.27 deg, intensity 38.1; 39.72 deg, intensity 34.4; 28.38 deg, intensity 32.6; 46.55 deg, intensity 31.2; 30.21 deg, intensity 27.8

=====

Entry 2:
Calculated powder diffractogram of TiH2 for a wavelength of 1.5418 Å, from a structure optimized by DFT (PBE).
Neutral-atom scattering factors, no anomalous dispersion.

Atomic structure:
```
6
Lattice="3.9465 0.0000 0.0000 0.0000 3.9465 0.0000 0.0000 0.0000 3.1359" Properties=species:S:1:pos:R:3 pbc="T T T"
Ti 0.0000 0.0000 0.0000
Ti 1.9733 1.9733 1.5680
H 0.6844 0.6844 1.5680
H 1.2888 2.6577 0.0000
H 2.6577 1.2888 0.0000
H 3.2621 3.2621 1.5680
```

Principal peaks in the range 2θ from 15° to 90°, in order of falling intensity:
36.60 deg, intensity 100.0; 32.07 deg, intensity 79.7; 60.16 deg, intensity 43.8; 45.99 deg, intensity 24.7; 68.66 deg, intensity 14.1; 76.30 deg, intensity 9.8; 78.91 deg, intensity 9.4; 77.80 deg, intensity 9.2

=====

Entry 3:
Calculated powder diffractogram of La5B4Rh15 for a wavelength of 1.5418 Å, from a structure optimized by DFT (PBE).
Neutral-atom scattering factors, no anomalous dispersion.

Atomic structure:
```
24
Lattice="4.2899 0.0000 0.0000 0.0000 4.2899 0.0000 0.0000 0.0000 21.1335" Properties=species:S:1:pos:R:3 pbc="T T T"
La 0.0000 0.0000 0.0000
La 0.0000 0.0000 4.2342
La 0.0000 0.0000 8.5444
La 0.0000 0.0000 12.5891
La 0.0000 0.0000 16.8993
B 2.1449 2.1449 2.1323
B 2.1449 2.1449 6.4561
B 2.1449 2.1449 14.6774
B 2.1449 2.1449 19.0013
Rh 0.0000 2.1449 2.1208
Rh 0.0000 2.1449 6.3755
Rh 0.0000 2.1449 10.5668
Rh 0.0000 2.1449 14.7580
Rh 0.0000 2.1449 19.0127
Rh 2.1449 0.0000 2.1208
Rh 2.1449 0.0000 6.3755
Rh 2.1449 0.0000 10.5668
Rh 2.1449 0.0000 14.7580
Rh 2.1449 0.0000 19.0127
Rh 2.1449 2.1449 0.0000
Rh 2.1449 2.1449 4.2733
Rh 2.1449 2.1449 8.5511
Rh 2.1449 2.1449 12.5824
Rh 2.1449 2.1449 16.8602
```

Principal peaks in the range 2θ from 15° to 90°, in order of falling intensity:
36.46 deg, intensity 100.0; 42.13 deg, intensity 35.2; 73.29 deg, intensity 25.2; 61.61 deg, intensity 21.9; 42.79 deg, intensity 16.5; 74.22 deg, intensity 11.7; 61.10 deg, intensity 11.5; 77.46 deg, intensity 11.1

=====

Entry 4:
Calculated powder diffractogram of Li8PrO6 for a wavelength of 1.5418 Å, from a structure optimized by DFT (PBE).
Neutral-atom scattering factors, no anomalous dispersion.

Atomic structure:
```
15
Lattice="2.8633 1.6531 5.6160 -2.8633 1.6531 5.6160 0.0000 -3.3063 5.6160" Properties=species:S:1:pos:R:3 pbc="T T T"
Li -1.1573 -1.7163 6.3291
Li 0.0000 0.0000 2.1690
Li -2.0651 0.1441 10.5188
Li -0.9077 1.8604 6.3291
Li 0.9077 -1.8604 10.5188
Li 2.0651 -0.1441 6.3291
Li 0.0000 0.0000 14.6789
Li 1.1573 1.7163 10.5188
Pr 0.0000 0.0000 8.4240
O -1.8423 0.1192 6.9121
O -1.0244 -1.5358 9.9358
O 0.8179 -1.6551 6.9121
O -0.8179 1.6551 9.9358
O 1.0244 1.5358 6.9121
O 1.8423 -0.1192 9.9358
```

Principal peaks in the range 2θ from 15° to 90°, in order of falling intensity:
18.65 deg, intensity 100.0; 20.78 deg, intensity 94.1; 35.18 deg, intensity 72.6; 45.23 deg, intensity 39.6; 15.78 deg, intensity 34.6; 27.79 deg, intensity 33.7; 32.11 deg, intensity 33.2; 55.59 deg, intensity 20.0

=====

Entry 5:
Calculated powder diffractogram of NdGaNi for a wavelength of 1.5418 Å, from a structure optimized by DFT (PBE).
Neutral-atom scattering factors, no anomalous dispersion.

Atomic structure:
```
12
Lattice="7.0893 0.0000 0.0000 0.0000 4.3663 0.0000 0.0000 0.0000 7.4846" Properties=species:S:1:pos:R:3 pbc="T T T"
Nd 0.1543 1.0916 1.5076
Nd 3.3903 3.2747 5.2499
Nd 3.6990 1.0916 2.2347
Nd 6.9350 3.2747 5.9770
Ga 1.2944 1.0916 4.3362
Ga 2.2502 3.2747 0.5939
Ga 4.8391 1.0916 6.8907
Ga 5.7949 3.2747 3.1484
Ni 1.4363 3.2747 3.0659
Ni 2.1083 1.0916 6.8082
Ni 4.9810 3.2747 0.6764
Ni 5.6530 1.0916 4.4187
```

Principal peaks in the range 2θ from 15° to 90°, in order of falling intensity:
34.73 deg, intensity 100.0; 33.99 deg, intensity 48.2; 41.70 deg, intensity 44.7; 34.86 deg, intensity 38.5; 41.36 deg, intensity 36.0; 67.34 deg, intensity 21.2; 40.01 deg, intensity 20.5; 55.17 deg, intensity 20.3

=====

Repeat the fifth record exactly.
Calculated powder diffractogram of NdGaNi for a wavelength of 1.5418 Å, from a structure optimized by DFT (PBE).
Neutral-atom scattering factors, no anomalous dispersion.

Atomic structure:
```
12
Lattice="7.0893 0.0000 0.0000 0.0000 4.3663 0.0000 0.0000 0.0000 7.4846" Properties=species:S:1:pos:R:3 pbc="T T T"
Nd 0.1543 1.0916 1.5076
Nd 3.3903 3.2747 5.2499
Nd 3.6990 1.0916 2.2347
Nd 6.9350 3.2747 5.9770
Ga 1.2944 1.0916 4.3362
Ga 2.2502 3.2747 0.5939
Ga 4.8391 1.0916 6.8907
Ga 5.7949 3.2747 3.1484
Ni 1.4363 3.2747 3.0659
Ni 2.1083 1.0916 6.8082
Ni 4.9810 3.2747 0.6764
Ni 5.6530 1.0916 4.4187
```

Principal peaks in the range 2θ from 15° to 90°, in order of falling intensity:
34.73 deg, intensity 100.0; 33.99 deg, intensity 48.2; 41.70 deg, intensity 44.7; 34.86 deg, intensity 38.5; 41.36 deg, intensity 36.0; 67.34 deg, intensity 21.2; 40.01 deg, intensity 20.5; 55.17 deg, intensity 20.3